Starting from DFT lattice parameters and positions (GGA+U), the powder diffractogram of Li4CrTeW2O12 was simulated for Cu Ka.
Neutral-atom scattering factors, no anomalous dispersion.

The 10 most intense peaks (2θ from 5° to 70°), low angle first:
hkl 1 1 0, 20.76°, 4.279 Å, I 108
hkl 0 2 0, 23.63°, 3.765 Å, I 1000
hkl 0 0 4, 32.69°, 2.740 Å, I 266
hkl -1 2 2, 32.82°, 2.728 Å, I 131
hkl 1 -2 2, 34.54°, 2.597 Å, I 180
hkl 2 0 0, 34.63°, 2.590 Å, I 88
hkl 2 0 -4, 48.35°, 1.883 Å, I 176
hkl 1 0 -6, 53.12°, 1.724 Å, I 90
hkl 2 2 4, 53.22°, 1.721 Å, I 89
hkl -1 4 2, 53.36°, 1.717 Å, I 90

Cell and atoms:
Cell: 5.1804 7.5471 11.0011 Å, 85.75 89.94 89.80°
Space group P1 (No. 1)
One atom of each set of equivalent atoms:
Li  0.0000  0.0000  0.0000 x1
Li  0.0002  0.0094  0.5071 x1
Li  0.4832  0.4033  0.6822 x1
Li  0.4947  0.4159  0.1878 x1
Li  0.4989  0.9538  0.6919 x1
Li  0.5039  0.9436  0.1842 x1
Li  0.9882  0.4070  0.9544 x1
Li  0.9915  0.4164  0.4498 x1
Cr  0.4980  0.2163  0.4753 x1
Cr  0.4976  0.2191  0.9769 x1
Te  0.9750  0.7007  0.7262 x1
Te  0.9939  0.7134  0.2296 x1
W  0.0012  0.2123  0.2313 x1
W  0.0017  0.2104  0.7299 x1
W  0.4778  0.7126  0.9764 x1
W  0.4912  0.7137  0.4761 x1
O  0.1227  0.9608  0.2299 x1
O  0.1352  0.9806  0.7232 x1
O  0.1680  0.6410  0.9174 x1
O  0.1740  0.6527  0.3846 x1
O  0.1901  0.2708  0.0822 x1
O  0.1911  0.2807  0.5786 x1
O  0.2864  0.2896  0.8252 x1
O  0.2971  0.2747  0.3216 x1
O  0.3167  0.6589  0.1505 x1
O  0.3231  0.6437  0.6256 x1
O  0.3811  0.9570  0.4805 x1
O  0.3842  0.9590  0.9924 x1
O  0.6163  0.4762  0.4734 x1
O  0.6190  0.4780  0.9911 x1
O  0.6376  0.7796  0.8237 x1
O  0.6909  0.7847  0.3219 x1
O  0.6996  0.1592  0.6316 x1
O  0.6998  0.1675  0.1361 x1
O  0.7987  0.7879  0.5699 x1
O  0.8028  0.7898  0.0834 x1
O  0.8137  0.1647  0.8817 x1
O  0.8191  0.1671  0.3814 x1
O  0.8416  0.4592  0.7247 x1
O  0.8695  0.4700  0.2337 x1